1.
# PmSnAu2
Theoretical powder XRD pattern, Cu Kα (weighted mean of Kα1 and Kα2). Input: a GGA-PBE-relaxed structure.
Peak positions follow from Bragg's law for the DFT cell and can differ from measured ones.

Principal peaks in the range 15 to 90 degrees two-theta, most intense first:
d = 2.530 Å, 35.48 deg, I = 100.0; d = 1.461 Å, 63.70 deg, I = 37.3; d = 1.789 Å, 51.04 deg, I = 18.0; d = 1.132 Å, 85.88 deg, I = 17.2; d = 1.265 Å, 75.08 deg, I = 11.8; d = 3.579 Å, 24.88 deg, I = 4.4; d = 1.600 Å, 57.59 deg, I = 1.9; d = 2.066 Å, 43.82 deg, I = 1.4; d = 1.193 Å, 80.52 deg, I = 0.9

Structural model:
```
PmSnAu2
1.0
7.1571 0.0000 0.0000
0.0000 7.1571 0.0000
0.0000 0.0000 7.1571
Pm Sn Au
4 4 8
direct
0.0000 0.0000 0.0000
0.0000 0.5000 0.5000
0.5000 0.0000 0.5000
0.5000 0.5000 0.0000
0.0000 0.0000 0.5000
0.0000 0.5000 0.0000
0.5000 0.0000 0.0000
0.5000 0.5000 0.5000
0.2500 0.2500 0.2500
0.2500 0.2500 0.7500
0.2500 0.7500 0.2500
0.2500 0.7500 0.7500
0.7500 0.2500 0.2500
0.7500 0.2500 0.7500
0.7500 0.7500 0.2500
0.7500 0.7500 0.7500
```

=====

2.
# Nd5Ir2
Theoretical powder XRD pattern, Cu Kα (weighted mean of Kα1 and Kα2). Input: a GGA-PBE-relaxed structure.
Peak positions follow from Bragg's law for the DFT cell and can differ from measured ones.

Principal peaks in the range 15 to 90 degrees two-theta, most intense first:
d = 2.648 Å, 33.85 deg, I = 100.0; d = 2.914 Å, 30.69 deg, I = 75.7; d = 4.626 Å, 19.19 deg, I = 71.0; d = 2.966 Å, 30.13 deg, I = 68.0; d = 2.812 Å, 31.82 deg, I = 53.0; d = 2.604 Å, 34.44 deg, I = 51.6; d = 2.301 Å, 39.16 deg, I = 46.9; d = 2.582 Å, 34.74 deg, I = 45.6; d = 2.907 Å, 30.75 deg, I = 42.1; d = 3.046 Å, 29.32 deg, I = 40.8

Structural model:
```
Nd5Ir2
1.0
8.3295 -3.3529 0.0000
8.3295 3.3529 0.0000
-0.9011 0.0000 7.2943
Nd Ir
10 4
direct
0.0671 0.9329 0.7500
0.1503 0.2849 0.3157
0.2849 0.1503 0.8157
0.2965 0.5180 0.0803
0.4820 0.7035 0.4197
0.5180 0.2965 0.5803
0.7035 0.4820 0.9197
0.7151 0.8497 0.1843
0.8497 0.7151 0.6843
0.9329 0.0671 0.2500
0.0982 0.6790 0.4261
0.3210 0.9018 0.0739
0.6790 0.0982 0.9261
0.9018 0.3210 0.5739
```

=====

Question: What is the formula in the second record?
Answer: Nd5Ir2